[1]
This entry pairs a crystal structure of CrP3O9 with its simulated X-ray diffraction stick pattern. Radiation: Cu Kα X-rays. Structure: a structure optimized by DFT (GGA+U).
Neutral-atom scattering factors, no anomalous dispersion.

Atomic structure:
a b c (Å): 6.6107 6.6107 9.6721
angles (deg): 90.16 90.16 60.10
Fractional positions:
Cr 0.0017 0.9983 0.5000
Cr 0.9983 0.0017 0.0000
P 0.3799 0.7312 0.7500
P 0.3812 0.8876 0.2521
P 0.7304 0.8891 0.7479
P 0.7312 0.3799 0.2500
P 0.8876 0.3812 0.7521
P 0.8891 0.7304 0.2479
O 0.2495 0.9924 0.1207
O 0.2510 0.7573 0.8822
O 0.2544 0.7508 0.6168
O 0.2590 0.9913 0.3863
O 0.4789 0.9101 0.7498
O 0.4800 0.6099 0.2520
O 0.6099 0.4800 0.7520
O 0.6117 0.9086 0.2484
O 0.7508 0.2544 0.1168
O 0.7525 0.9909 0.6141
O 0.7543 0.9959 0.8796
O 0.7573 0.2510 0.3822
O 0.9086 0.6117 0.7484
O 0.9101 0.4789 0.2498
O 0.9913 0.2590 0.8863
O 0.9909 0.7525 0.1141
O 0.9924 0.2495 0.6207
O 0.9959 0.7543 0.3796

Principal peaks in the range 2θ = 10–80°, in order of rising 2θ:
15.47 deg, rel. 100
18.35 deg, rel. 22
24.09 deg, rel. 73
28.53 deg, rel. 34
31.23 deg, rel. 10
32.81 deg, rel. 33
36.44 deg, rel. 13
42.79 deg, rel. 12
49.30 deg, rel. 9
57.05 deg, rel. 12

[2]
This entry pairs a crystal structure of V4CoH4C4N2O10 with its simulated X-ray diffraction stick pattern. Radiation: Cu Kα X-rays. Structure: a structure optimized by DFT (GGA+U).
Neutral-atom scattering factors, no anomalous dispersion.

Atomic structure:
a b c (Å): 8.0512 8.0512 11.6844
angles (deg): 90.00 90.00 52.35
Fractional positions:
V 0.0774 0.3474 0.1042
V 0.0774 0.3474 0.3958
V 0.3474 0.0774 0.6042
V 0.3474 0.0774 0.8958
V 0.6526 0.9226 0.1042
V 0.6526 0.9226 0.3958
V 0.9226 0.6526 0.6042
V 0.9226 0.6526 0.8958
Co 0.1746 0.8254 0.7500
Co 0.8254 0.1746 0.2500
H 0.1488 0.8512 0.0713
H 0.1488 0.8512 0.4287
H 0.4961 0.5039 0.5739
H 0.4961 0.5039 0.9261
H 0.5039 0.4961 0.0739
H 0.5039 0.4961 0.4261
H 0.8512 0.1488 0.5713
H 0.8512 0.1488 0.9287
C 0.2264 0.7736 0.1516
C 0.2264 0.7736 0.3484
C 0.4227 0.5773 0.1524
C 0.4227 0.5773 0.3476
C 0.5773 0.4227 0.6524
C 0.5773 0.4227 0.8476
C 0.7736 0.2264 0.6516
C 0.7736 0.2264 0.8484
N 0.1291 0.8709 0.2500
N 0.4792 0.5208 0.7500
N 0.5208 0.4792 0.2500
N 0.8709 0.1291 0.7500
O 0.0759 0.7254 0.6234
O 0.0759 0.7254 0.8766
O 0.0989 0.3570 0.5682
O 0.0989 0.3570 0.9318
O 0.1379 0.3757 0.2500
O 0.2746 0.9241 0.6234
O 0.2746 0.9241 0.8766
O 0.3570 0.0989 0.0682
O 0.3570 0.0989 0.4318
O 0.3757 0.1379 0.7500
O 0.6243 0.8621 0.2500
O 0.6430 0.9011 0.5682
O 0.6430 0.9011 0.9318
O 0.7254 0.0759 0.1234
O 0.7254 0.0759 0.3766
O 0.8621 0.6243 0.7500
O 0.9011 0.6430 0.0682
O 0.9011 0.6430 0.4318
O 0.9241 0.2746 0.1234
O 0.9241 0.2746 0.3766

Principal peaks in the range 2θ = 10–80°, in order of rising 2θ:
12.25 deg, rel. 71
13.89 deg, rel. 38
15.84 deg, rel. 59
19.54 deg, rel. 99
22.30 deg, rel. 33
24.64 deg, rel. 100
26.23 deg, rel. 80
32.13 deg, rel. 46
33.08 deg, rel. 27
38.53 deg, rel. 25